Starting from a structure optimized by DFT (PBE), the powder X-ray diffraction pattern of Pm3Zn3Cu was simulated for λ = 1.5418 Å (Cu Kα).

Crystal structure
```
data_Pm3Zn3Cu
_cell_length_a 3.635
_cell_length_b 4.508
_cell_length_c 19.650
_cell_angle_alpha 90.00
_cell_angle_beta 90.00
_cell_angle_gamma 90.00
_symmetry_space_group_name_H-M 'I m m 2'
_symmetry_Int_Tables_number 44
_symmetry_space_group_name_Hall 'I 2 -2'
loop_
_atom_site_label
_atom_site_type_symbol
_atom_site_fract_x
_atom_site_fract_y
_atom_site_fract_z
Pm1 Pm 0.000 0.000 0.000
Pm2 Pm 0.000 0.000 0.379
Pm3 Pm 0.000 0.500 0.195
Zn1 Zn 0.000 0.000 0.555
Zn2 Zn 0.000 0.000 0.828
Zn3 Zn 0.000 0.500 0.628
Cu1 Cu 0.000 0.500 0.757
```

The 10 most intense peaks (10 to 90 degrees two-theta), in order of falling intensity:
| 2theta | I_rel | (hkl) |
| --- | --- | --- |
| 32.94 | 100 | 1 1 2 |
| 33.59 | 62 | 1 0 5 |
| 37.75 | 47 | 0 1 7 |
| 40.00 | 34 | 0 2 0 |
| 53.19 | 33 | 1 2 5 |
| 23.96 | 29 | 0 1 3 |
| 36.65 | 25 | 1 1 4 |
| 64.49 | 19 | 2 1 7 |
| 50.20 | 17 | 2 0 0 |
| 66.04 | 15 | 2 2 0 |